The following is a computed XRD peak list of Tb2DyFe2B2N3. It was derived from the GGA-PBE geometry in OQMD, using CuKα.

The 10 most intense peaks (5° ≤ 2θ ≤ 70°), sorted by position:
| Position (°2θ) | intensity | (hkl) |
| --- | --- | --- |
| 28.97 | 100 | 1 0 3 |
| 33.98 | 89 | 1 0 5 |
| 35.20 | 53 | 0 0 8 |
| 36.75 | 43 | 1 1 0 |
| 37.83 | 40 | 1 1 2 |
| 40.93 | 30 | 1 1 4 |
| 51.80 | 27 | 1 1 8 |
| 52.95 | 36 | 2 0 0 |
| 64.43 | 29 | 2 1 5 |
| 65.19 | 34 | 2 0 8 |

Crystal structure
Cell lengths 3.4585, 3.4585, 20.3963 Å; angles 90.00, 90.00, 90.00 degrees
Space group I4/mmm (No. 139)
Inequivalent atoms, fractional coordinates:
Tb: 0.0000 0.0000 0.1223 x4
Dy: 0.0000 0.0000 0.5000 x2
Fe: 0.0000 0.5000 0.2500 x4
B: 0.0000 0.0000 0.3123 x4
N: 0.0000 0.0000 0.0000 x2
N: 0.0000 0.0000 0.3851 x4